Record 1
The following is a computed powder XRD pattern of RbY3Se4O12. It was derived from a DFT-relaxed cell (GGA-PBE, Alexandria), using Cu Kα (weighted mean of Kα1 and Kα2).
No peak broadening, texture or thermal motion is included.

Atomic structure:
a b c (Å): 12.3249 12.3249 8.4494
angles (deg): 90.00 90.00 120.00
Space group R32 (No. 155, hexagonal axes)
Inequivalent atoms, fractional coordinates:
Rb 0.0000 0.0000 0.0000 x3
Y 0.0000 0.5672 0.0000 x9
Se 0.0000 0.0000 0.5000 x3
Se 0.0000 0.4328 0.5000 x9
O 0.0000 0.6158 0.5000 x9
O 0.0000 0.8453 0.5000 x9
O 0.0496 0.2527 0.1720 x18

The 12 most intense peaks (2θ = 15–90°), in order of rising 2θ:
- 2θ = 24.5°, d 3.641, I = 47, hkl 2 1 1
- 2θ = 25.0°, d 3.558, I = 23, hkl 3 0 0
- 2θ = 26.9°, d 3.312, I = 100, hkl 2 0 2
- 2θ = 29.0°, d 3.081, I = 26, hkl 2 2 0
- 2θ = 32.0°, d 2.794, I = 34, hkl 1 3 1
- 2θ = 35.0°, d 2.562, I = 21, hkl 1 1 3
- 2θ = 42.7°, d 2.119, I = 16, hkl 2 3 2
- 2θ = 46.2°, d 1.964, I = 26, hkl 0 2 4
- 2θ = 47.7°, d 1.905, I = 19, hkl 5 0 2
- 2θ = 48.7°, d 1.870, I = 15, hkl 5 1 1
- 2θ = 50.9°, d 1.795, I = 18, hkl 4 1 3
- 2θ = 53.6°, d 1.709, I = 25, hkl 5 2 0

---

Record 2
The following is a computed powder XRD pattern of Rb5ZnSeO2. It was derived from a DFT-relaxed cell (GGA-PBE, Alexandria), using Cu Kα (weighted mean of Kα1 and Kα2).
No peak broadening, texture or thermal motion is included.

Atomic structure:
a b c (Å): 5.698 5.698 9.440
angles (deg): 90.00 90.00 90.00
Space group P4/mmm (No. 123)
Inequivalent atoms, fractional coordinates:
Rb 0.000 0.000 0.000 x1
Rb 0.000 0.500 0.258 x4
Zn 0.000 0.000 0.500 x1
Se 0.500 0.500 0.000 x1
O 0.000 0.000 0.308 x2

The 12 most intense peaks (2θ = 15–90°), in order of rising 2θ:
- 2θ = 15.6°, d 5.698, I = 10, hkl 1 0 0
- 2θ = 29.1°, d 3.064, I = 100, hkl 1 1 2
- 2θ = 31.4°, d 2.849, I = 51, hkl 2 0 0
- 2θ = 38.1°, d 2.360, I = 13, hkl 0 0 4
- 2θ = 45.0°, d 2.015, I = 18, hkl 2 2 0
- 2θ = 50.2°, d 1.817, I = 23, hkl 2 0 4
- 2θ = 54.5°, d 1.683, I = 34, hkl 3 1 2
- 2θ = 60.4°, d 1.532, I = 13, hkl 2 2 4
- 2θ = 63.5°, d 1.466, I = 11, hkl 1 1 6
- 2θ = 74.5°, d 1.274, I = 8, hkl 4 2 0
- 2θ = 81.2°, d 1.185, I = 11, hkl 3 1 6
- 2θ = 86.9°, d 1.121, I = 10, hkl 4 2 4

---

Record 3
The following is a computed powder XRD pattern of Rb2ZnSe2O6. It was derived from a DFT-relaxed cell (GGA-PBE, Alexandria), using Cu Kα (weighted mean of Kα1 and Kα2).
No peak broadening, texture or thermal motion is included.

Atomic structure:
a b c (Å): 9.388 5.904 7.282
angles (deg): 90.00 111.08 90.00
Space group C2/m (No. 12)
Inequivalent atoms, fractional coordinates:
Rb 0.203 0.000 0.147 x4
Zn 0.000 0.000 0.500 x2
Se 0.093 0.500 0.254 x4
O 0.013 0.266 0.724 x8
O 0.239 0.000 0.548 x4

The 12 most intense peaks (2θ = 15–90°), in order of rising 2θ:
- 2θ = 26.2°, d 3.397, I = 13, hkl 0 0 2
- 2θ = 27.9°, d 3.195, I = 45, hkl 2 0 1
- 2θ = 28.8°, d 3.098, I = 100, hkl 1 1 -2
- 2θ = 30.3°, d 2.952, I = 41, hkl 0 2 0
- 2θ = 32.5°, d 2.759, I = 71, hkl 3 1 -1
- 2θ = 41.7°, d 2.168, I = 31, hkl 2 2 1
- 2θ = 47.5°, d 1.914, I = 11, hkl 1 1 3
- 2θ = 52.9°, d 1.731, I = 15, hkl 1 3 -2
- 2θ = 54.6°, d 1.680, I = 18, hkl 5 1 0
- 2θ = 55.2°, d 1.665, I = 16, hkl 3 3 -1
- 2θ = 56.2°, d 1.637, I = 13, hkl 4 2 -3
- 2θ = 66.6°, d 1.405, I = 10, hkl 4 2 2

---

Record 4
The following is a computed powder XRD pattern of Rb4SiO4. It was derived from a DFT-relaxed cell (GGA-PBE, Alexandria), using Cu Kα (weighted mean of Kα1 and Kα2).
No peak broadening, texture or thermal motion is included.

Atomic structure:
a b c (Å): 6.827 6.995 9.413
angles (deg): 82.06 73.40 61.17
Space group P-1 (No. 2)
Inequivalent atoms, fractional coordinates:
Rb 0.012 0.228 0.050 x2
Rb 0.152 0.280 0.634 x2
Rb 0.244 0.774 0.547 x2
Rb 0.432 0.726 0.134 x2
Si 0.365 0.267 0.250 x2
O 0.225 0.432 0.125 x2
O 0.238 0.114 0.333 x2
O 0.346 0.431 0.373 x2
O 0.356 0.893 0.833 x2

The 12 most intense peaks (2θ = 15–90°), in order of rising 2θ:
- 2θ = 28.0°, d 3.185, I = 100, hkl 1 1 -2
- 2θ = 29.1°, d 3.064, I = 85, hkl 0 2 0
- 2θ = 29.8°, d 2.994, I = 84, hkl 1 0 3
- 2θ = 30.0°, d 2.983, I = 100, hkl 2 0 1
- 2θ = 30.1°, d 2.967, I = 100, hkl 2 2 1
- 2θ = 34.9°, d 2.571, I = 44, hkl -1 1 2
- 2θ = 35.0°, d 2.562, I = 40, hkl 1 2 -2
- 2θ = 36.5°, d 2.463, I = 75, hkl 1 2 3
- 2θ = 46.1°, d 1.970, I = 27, hkl 3 1 -1
- 2θ = 46.2°, d 1.965, I = 25, hkl 3 2 -1
- 2θ = 52.9°, d 1.731, I = 30, hkl 0 1 5
- 2θ = 59.9°, d 1.544, I = 19, hkl 2 1 6

---

Record 5
The following is a computed powder XRD pattern of RbSi2O4. It was derived from a DFT-relaxed cell (GGA-PBE, Alexandria), using Cu Kα (weighted mean of Kα1 and Kα2).
No peak broadening, texture or thermal motion is included.

Atomic structure:
a b c (Å): 7.910 7.910 4.852
angles (deg): 90.00 90.00 90.00
Space group I4/m (No. 87)
Inequivalent atoms, fractional coordinates:
Rb 0.000 0.000 0.000 x2
Si 0.000 0.500 0.250 x4
O 0.001 0.652 0.500 x8

The 12 most intense peaks (2θ = 15–90°), in order of rising 2θ:
- 2θ = 21.5°, d 4.136, I = 39, hkl 1 0 1
- 2θ = 22.5°, d 3.955, I = 100, hkl 2 0 0
- 2θ = 31.3°, d 2.858, I = 82, hkl 1 2 1
- 2θ = 32.0°, d 2.797, I = 21, hkl 2 2 0
- 2θ = 40.5°, d 2.226, I = 16, hkl 1 1 2
- 2θ = 45.4°, d 1.999, I = 9, hkl 3 2 1
- 2θ = 45.9°, d 1.977, I = 11, hkl 4 0 0
- 2θ = 51.2°, d 1.784, I = 23, hkl 1 4 1
- 2θ = 52.6°, d 1.741, I = 31, hkl 3 1 2
- 2θ = 62.9°, d 1.478, I = 14, hkl 3 3 2
- 2θ = 63.2°, d 1.471, I = 9, hkl 1 2 3
- 2θ = 81.3°, d 1.184, I = 10, hkl 5 3 2

---

Record 6
The following is a computed powder XRD pattern of Rb2Si2O5. It was derived from a DFT-relaxed cell (GGA-PBE, Alexandria), using Cu Kα (weighted mean of Kα1 and Kα2).
No peak broadening, texture or thermal motion is included.

Atomic structure:
a b c (Å): 10.262 8.593 14.914
angles (deg): 90.00 90.18 90.00
Space group C2/c (No. 15)
Inequivalent atoms, fractional coordinates:
Rb 0.075 0.119 0.397 x8
Rb 0.153 0.392 0.926 x8
Si 0.116 0.203 0.682 x8
Si 0.140 0.419 0.205 x8
O 0.000 0.136 0.750 x4
O 0.000 0.359 0.250 x4
O 0.081 0.165 0.580 x8
O 0.135 0.389 0.705 x8
O 0.167 0.342 0.111 x8
O 0.247 0.382 0.287 x8

The 12 most intense peaks (2θ = 15–90°), in order of rising 2θ:
- 2θ = 21.0°, d 4.227, I = 12, hkl 2 0 2
- 2θ = 27.5°, d 3.249, I = 82, hkl 0 2 3
- 2θ = 27.7°, d 3.217, I = 100, hkl 2 2 -1
- 2θ = 28.1°, d 3.178, I = 26, hkl 3 1 0
- 2θ = 28.7°, d 3.110, I = 14, hkl 3 1 -1
- 2θ = 29.6°, d 3.017, I = 52, hkl 2 0 -4
- 2θ = 33.0°, d 2.714, I = 12, hkl 1 3 1
- 2θ = 35.0°, d 2.565, I = 11, hkl 4 0 0
- 2θ = 36.1°, d 2.486, I = 12, hkl 0 0 6
- 2θ = 40.8°, d 2.212, I = 24, hkl 2 2 -5
- 2θ = 42.1°, d 2.148, I = 17, hkl 0 4 0
- 2θ = 51.0°, d 1.790, I = 12, hkl 2 2 -7

---

Record 7
The following is a computed powder XRD pattern of Rb6Si10O23. It was derived from a DFT-relaxed cell (GGA-PBE, Alexandria), using Cu Kα (weighted mean of Kα1 and Kα2).
No peak broadening, texture or thermal motion is included.

Atomic structure:
a b c (Å): 8.192 16.568 9.480
angles (deg): 90.00 90.00 90.00
Space group Amm2 (No. 38)
Inequivalent atoms, fractional coordinates:
Rb 0.000 0.000 0.000 x2
Rb 0.000 0.120 0.642 x4
Rb 0.500 0.000 0.992 x2
Rb 0.500 0.121 0.629 x4
Si 0.189 0.172 0.267 x8
Si 0.302 0.000 0.352 x4
Si 0.309 0.195 0.965 x8
O 0.000 0.183 0.322 x4
O 0.204 0.214 0.112 x8
O 0.232 0.077 0.254 x8
O 0.250 0.121 0.873 x8
O 0.254 0.000 0.513 x4
O 0.304 0.215 0.385 x8
O 0.500 0.000 0.321 x2
O 0.500 0.188 0.021 x4

The 12 most intense peaks (2θ = 15–90°), in order of rising 2θ:
- 2θ = 21.5°, d 4.125, I = 8, hkl 1 3 1
- 2θ = 21.7°, d 4.104, I = 8, hkl 1 0 2
- 2θ = 24.3°, d 3.669, I = 36, hkl 2 1 1
- 2θ = 28.6°, d 3.124, I = 53, hkl 0 5 1
- 2θ = 28.8°, d 3.105, I = 100, hkl 0 1 3
- 2θ = 36.2°, d 2.484, I = 34, hkl 2 5 1
- 2θ = 36.3°, d 2.474, I = 17, hkl 2 1 3
- 2θ = 44.2°, d 2.048, I = 11, hkl 4 0 0
- 2θ = 49.6°, d 1.838, I = 14, hkl 2 4 4
- 2θ = 53.2°, d 1.721, I = 10, hkl 2 7 3
- 2θ = 53.5°, d 1.712, I = 16, hkl 4 5 1
- 2θ = 76.1°, d 1.251, I = 7, hkl 6 5 1